# La2NdIn6
Simulated powder XRD pattern, Cu Kα X-rays. Input: DFT lattice parameters and positions (GGA-PBE).
No peak broadening, texture or thermal motion is included.

Main lines, in order of rising 2θ (2θ = 10–90°):
Position (°2θ)  I (rel.)
23.4  5
31.2  100
35.6  75
43.0  6
47.9  11
48.0  30
61.2  58
63.9  13
75.3  8
78.8  7
83.7  24
89.5  5

Structural model:
```
La2NdIn6
1.0
8.741 0.000 0.000
-4.370 7.570 0.000
0.000 0.000 3.795
La Nd In
2 1 6
direct
0.333 0.667 0.000
0.667 0.333 0.000
0.000 0.000 0.000
0.000 0.332 0.500
0.000 0.668 0.500
0.332 0.000 0.500
0.332 0.332 0.500
0.668 0.000 0.500
0.668 0.668 0.500
```

# Ba4PdN
Simulated powder XRD pattern, Cu Kα X-rays. Input: DFT lattice parameters and positions (GGA-PBE).
No peak broadening, texture or thermal motion is included.

Main lines, in order of rising 2θ (2θ = 10–90°):
Position (°2θ)  I (rel.)
11.8  68
23.6  23
24.3  25
24.9  52
27.9  42
28.5  100
36.2  16
36.7  17
39.9  26
40.7  30
41.9  19
50.6  17

Structural model:
```
Ba4PdN
1.0
4.313 0.000 0.000
0.001 7.749 0.000
2.146 1.283 7.525
Ba Pd N
4 1 1
direct
0.101 0.382 0.298
0.391 0.178 0.719
0.609 0.822 0.281
0.899 0.618 0.702
0.000 0.000 0.500
0.500 0.500 0.500
```

# Pr5Ge5Rh2
Simulated powder XRD pattern, Cu Kα X-rays. Input: DFT lattice parameters and positions (GGA-PBE).
No peak broadening, texture or thermal motion is included.

Main lines, in order of rising 2θ (2θ = 10–90°):
Position (°2θ)  I (rel.)
27.3  18
31.3  100
32.7  46
33.4  49
33.6  26
36.5  32
38.7  62
41.7  42
48.5  29
54.0  23
56.6  18
64.6  21

Structural model:
```
Pr5Ge5Rh2
1.0
7.753 -2.165 0.000
7.753 2.165 0.000
-7.547 0.000 8.702
Pr Ge Rh
5 5 2
direct
0.000 0.000 0.000
0.115 0.115 0.422
0.200 0.200 0.827
0.800 0.800 0.173
0.885 0.885 0.578
0.253 0.253 0.308
0.443 0.443 0.162
0.500 0.500 0.500
0.557 0.557 0.838
0.747 0.747 0.692
0.353 0.353 0.738
0.647 0.647 0.262
```